The following is a computed X-ray diffraction stick pattern of TbPrGePd. It was derived from a crystal structure in Alexandria, relaxed with GGA-PBE, using Cu Kα X-rays.

Most intense lines, 10° ≤ 2θ ≤ 80°, by angle:
d = 2.870 Å, intensity 100; d = 2.779 Å, intensity 29; d = 2.740 Å, intensity 32; d = 2.318 Å, intensity 62; d = 2.172 Å, intensity 26; d = 2.035 Å, intensity 21; d = 1.703 Å, intensity 25; d = 1.223 Å, intensity 23

```
data_TbPrGePd
_cell_length_a 4.345
_cell_length_b 4.070
_cell_length_c 11.116
_cell_angle_alpha 90.00
_cell_angle_beta 90.00
_cell_angle_gamma 90.00
_symmetry_space_group_name_H-M 'P 1'
_symmetry_Int_Tables_number 1
_symmetry_space_group_name_Hall 'P 1'
loop_
_atom_site_label
_atom_site_type_symbol
_atom_site_fract_x
_atom_site_fract_y
_atom_site_fract_z
Tb1 Tb 0.000 0.000 0.000
Tb2 Tb 0.000 0.500 0.500
Pr1 Pr 0.500 0.000 0.276
Pr2 Pr 0.500 0.500 0.776
Ge1 Ge 0.000 0.000 0.712
Ge2 Ge 0.000 0.500 0.212
Pd1 Pd 0.500 0.000 0.555
Pd2 Pd 0.500 0.500 0.055
```

***

The following is a computed X-ray diffraction stick pattern of BaHSBr2. It was derived from a crystal structure in Alexandria, relaxed with GGA-PBE, using Cu Kα X-rays.

Most intense lines, 10° ≤ 2θ ≤ 80°, by angle:
d = 4.627 Å, intensity 15; d = 3.641 Å, intensity 16; d = 2.951 Å, intensity 28; d = 2.861 Å, intensity 100; d = 2.313 Å, intensity 28; d = 1.821 Å, intensity 26; d = 1.686 Å, intensity 20; d = 1.420 Å, intensity 23

```
data_BaHSBr2
_cell_length_a 4.627
_cell_length_b 4.627
_cell_length_c 5.902
_cell_angle_alpha 90.00
_cell_angle_beta 90.00
_cell_angle_gamma 90.00
_symmetry_space_group_name_H-M 'P 1'
_symmetry_Int_Tables_number 1
_symmetry_space_group_name_Hall 'P 1'
loop_
_atom_site_label
_atom_site_type_symbol
_atom_site_fract_x
_atom_site_fract_y
_atom_site_fract_z
Ba1 Ba 0.000 0.000 0.000
H1 H 0.000 0.000 0.500
S1 S 0.500 0.500 0.000
Br1 Br 0.000 0.500 0.500
Br2 Br 0.500 0.000 0.500
```